Entry 1:
This entry pairs a crystal structure of LaSiAs3 with its simulated powder diffractogram. Radiation: Cu Ka. Structure: DFT lattice parameters and positions (GGA-PBE).
No peak broadening, texture or thermal motion is included.

Atomic structure:
a = 5.967 Å, b = 26.669 Å, c = 6.031 Å
α = 90.00°, β = 90.00°, γ = 90.00°
Fractional positions:
La1 0.002 0.091 0.000
La2 0.002 0.409 0.500
La3 0.498 0.591 0.000
La4 0.498 0.909 0.500
La5 0.502 0.091 0.500
La6 0.502 0.409 0.000
La7 0.998 0.591 0.500
La8 0.998 0.909 0.000
Si1 0.080 0.707 0.085
Si2 0.080 0.793 0.585
Si3 0.420 0.207 0.085
Si4 0.420 0.293 0.585
Si5 0.580 0.707 0.415
Si6 0.580 0.793 0.915
Si7 0.920 0.207 0.415
Si8 0.920 0.293 0.915
As1 0.005 0.124 0.505
As2 0.005 0.376 0.005
As3 0.024 0.211 0.038
As4 0.024 0.289 0.538
As5 0.248 0.000 0.748
As6 0.248 0.500 0.248
As7 0.252 0.000 0.248
As8 0.252 0.500 0.748
As9 0.476 0.711 0.038
As10 0.476 0.789 0.538
As11 0.495 0.624 0.505
As12 0.495 0.876 0.005
As13 0.505 0.124 0.995
As14 0.505 0.376 0.495
As15 0.524 0.211 0.462
As16 0.524 0.289 0.962
As17 0.748 0.000 0.752
As18 0.748 0.500 0.252
As19 0.752 0.000 0.252
As20 0.752 0.500 0.752
As21 0.976 0.711 0.462
As22 0.976 0.789 0.962
As23 0.995 0.624 0.995
As24 0.995 0.876 0.495

Peak list (8 most intense, 2θ from 10° to 90°, most intense first)
d 2.834, 2θ = 31.6°, I 100
d 2.121, 2θ = 42.6°, I 76
d 2.747, 2θ = 32.6°, I 48
d 2.723, 2θ = 32.9°, I 45
d 2.667, 2θ = 33.6°, I 45
d 2.495, 2θ = 36.0°, I 45
d 2.477, 2θ = 36.3°, I 44
d 2.983, 2θ = 30.0°, I 39

***

Entry 2:
This entry pairs a crystal structure of EuO2 with its simulated powder diffractogram. Radiation: Cu Ka. Structure: DFT lattice parameters and positions (GGA-PBE).
No peak broadening, texture or thermal motion is included.

Atomic structure:
a = 3.889 Å, b = 3.912 Å, c = 5.473 Å
α = 90.00°, β = 90.38°, γ = 90.00°
Fractional positions:
Eu1 0.249 0.250 0.249
Eu2 0.751 0.750 0.751
O1 0.248 0.750 0.002
O2 0.251 0.750 0.504
O3 0.749 0.250 0.496
O4 0.752 0.250 0.998

Peak list (8 most intense, 2θ from 10° to 90°, most intense first)
d 3.182, 2θ = 28.0°, I 100
d 1.946, 2θ = 46.7°, I 36
d 3.160, 2θ = 28.2°, I 32
d 2.758, 2θ = 32.5°, I 28
d 1.938, 2θ = 46.9°, I 23
d 1.663, 2θ = 55.2°, I 20
d 1.656, 2θ = 55.5°, I 15
d 2.736, 2θ = 32.7°, I 14